Record 1
# Zr3Cu2Ge2
Theoretical powder XRD pattern, copper Kα. Input: a GGA-PBE-relaxed structure.

Peak list (10 most intense, 2θ = 5–70°, sorted by position)
2θ (°), I_rel, index
11.6, 8, 0 0 3
22.9, 12, 1 0 1
23.4, 4, 0 0 6
23.9, 10, 0 1 2
30.0, 14, 0 1 5
39.0, 100, 0 1 8
39.7, 100, 1 1 0
54.2, 4, 1 1 9
56.9, 32, 2 0 8
57.5, 5, 1 0 13

Cell lengths 4.5425, 4.5425, 22.7953 Å; angles 90.00, 90.00, 120.00 degrees
Space group R3m (No. 160, hexagonal axes)
Asymmetric unit:
Zr  0.0000  0.0000  0.0000
Zr  0.0000  0.0000  0.2430
Zr  0.0000  0.0000  0.7548
Cu  0.0000  0.0000  0.3815
Cu  0.0000  0.0000  0.8713
Ge  0.0000  0.0000  0.1251
Ge  0.0000  0.0000  0.6237

Record 2
# LaNdAg2Bi4
Theoretical powder XRD pattern, copper Kα. Input: a GGA-PBE-relaxed structure.

Peak list (10 most intense, 2θ = 5–70°, sorted by position)
2θ (°), I_rel, index
25.4, 11, 0 0 3
25.7, 12, 1 0 2
28.7, 12, 1 1 1
32.3, 100, 1 1 2
34.0, 11, 0 0 4
39.2, 37, 2 0 0
47.5, 11, 1 0 5
52.8, 13, 2 0 4
56.6, 13, 2 2 0
66.7, 25, 3 1 2

Cell lengths 4.601, 4.601, 10.534 Å; angles 90.00, 90.00, 90.00 degrees
Space group P4mm (No. 99)
Asymmetric unit:
La  0.000  0.000  0.000
Nd  0.500  0.500  0.499
Ag  0.000  0.500  0.749
Bi  0.000  0.000  0.567
Bi  0.000  0.500  0.251
Bi  0.500  0.500  0.931